Starting from the PBE+U geometry in Alexandria, the powder X-ray diffraction pattern of NiH10C2N4O6 was calculated for Cu Kα (λ = 1.5418 Å).

Crystal structure
Lattice parameters (Å, degrees): 6.8743 6.8743 10.5263 108.93 108.93 62.26
Element x y z (fractional)
Ni1 0.0000 0.0000 0.0000
Ni2 0.0000 0.0000 0.5000
H1 0.0564 0.2249 0.7648
H2 0.1473 0.5984 0.3332
H3 0.1794 0.4777 0.7286
H4 0.2249 0.0564 0.2648
H5 0.2501 0.5607 0.9481
H6 0.3166 0.6335 0.5856
H7 0.3665 0.6834 0.9144
H8 0.4016 0.8527 0.1668
H9 0.4393 0.7499 0.5519
H10 0.4777 0.1794 0.2286
H11 0.5223 0.8206 0.7714
H12 0.5607 0.2501 0.4481
H13 0.5984 0.1473 0.8332
H14 0.6335 0.3166 0.0856
H15 0.6834 0.3665 0.4144
H16 0.7499 0.4393 0.0519
H17 0.7751 0.9436 0.7352
H18 0.8206 0.5223 0.2714
H19 0.8527 0.4016 0.6668
H20 0.9436 0.7751 0.2352
C1 0.2264 0.2747 0.5357
C2 0.2747 0.2264 0.0357
C3 0.7253 0.7736 0.9643
C4 0.7736 0.7253 0.4643
N1 0.0066 0.2681 0.6700
N2 0.1635 0.3380 0.6589
N3 0.2681 0.0066 0.1700
N4 0.3380 0.1635 0.1589
N5 0.6620 0.8365 0.8411
N6 0.7319 0.9934 0.8300
N7 0.8365 0.6620 0.3411
N8 0.9934 0.7319 0.3300
O1 0.1254 0.1702 0.9411
O2 0.1702 0.1254 0.4411
O3 0.2156 0.6816 0.9001
O4 0.3184 0.7844 0.5999
O5 0.3421 0.3674 0.5240
O6 0.3674 0.3421 0.0240
O7 0.6326 0.6579 0.9760
O8 0.6579 0.6326 0.4760
O9 0.6816 0.2156 0.4001
O10 0.7844 0.3184 0.0999
O11 0.8298 0.8746 0.5589
O12 0.8746 0.8298 0.0589

Most intense lines, 10 to 90 degrees two-theta, in order of falling intensity:
4.871 Å, rel. 100
5.952 Å, rel. 99
4.222 Å, rel. 61
2.871 Å, rel. 51
3.554 Å, rel. 47
4.598 Å, rel. 28
2.352 Å, rel. 21
3.338 Å, rel. 21
1.718 Å, rel. 19
1.669 Å, rel. 19
2.009 Å, rel. 17
2.229 Å, rel. 15